Record 1
This entry pairs a crystal structure of TlBi3Au8 with its calculated PXRD pattern. Radiation: a wavelength of 1.5418 Å. Structure: DFT lattice parameters and positions (PBE).
Lines closer than 0.1° are merged.

Principal peaks in the range 15° ≤ 2θ ≤ 90°, by angle:
- 2θ 30.85, d 2.898, I 253, (1 1 0)
- 2θ 34.40, d 2.607, I 491, (1 0 3)
- 2θ 36.71, d 2.448, I 1000, (1 1 2)
- 2θ 37.14, d 2.421, I 725, (0 2 1)
- 2θ 39.39, d 2.288, I 218, (0 0 4)
- 2θ 57.18, d 1.611, I 213, (2 1 3)
- 2θ 58.75, d 1.572, I 263, (3 0 2)
- 2θ 62.84, d 1.479, I 298, (0 2 5)
- 2θ 64.28, d 1.449, I 276, (2 2 0)
- 2θ 78.06, d 1.224, I 185, (2 2 4)

Atomic structure:
```
data_TlBi3Au8
_chemical_formula_sum 'Tl1 Bi3 Au8'
_symmetry_space_group_name_H-M 'P 3 m 1'
_symmetry_Int_Tables_number 156
_cell_length_a 5.7965
_cell_length_b 5.7965
_cell_length_c 9.1506
_cell_angle_alpha 90.00
_cell_angle_beta 90.00
_cell_angle_gamma 120.00
loop_
_symmetry_equiv_pos_as_xyz
'x,y,z'
'-y,x-y,z'
'-x+y,-x,z'
'-y,-x,z'
'-x+y,y,z'
'x,x-y,z'
loop_
_atom_site_label
_atom_site_fract_x
_atom_site_fract_y
_atom_site_fract_z
Tl1 0.0000 0.0000 0.0000
Bi1 0.0000 0.0000 0.3984
Bi2 0.6667 0.3333 0.4808
Bi3 0.6667 0.3333 0.8793
Au1 0.1639 0.3279 0.6884
Au2 0.3333 0.6667 0.4336
Au3 0.3333 0.6667 0.9360
Au4 0.5033 0.0065 0.1843
```

***

Record 2
This entry pairs a crystal structure of Tl6Bi3Au with its calculated PXRD pattern. Radiation: a wavelength of 1.5418 Å. Structure: DFT lattice parameters and positions (PBE).
Lines closer than 0.1° are merged.

Principal peaks in the range 15° ≤ 2θ ≤ 90°, by angle:
- 2θ 27.62, d 3.229, I 319, (1 2 -1)
- 2θ 28.83, d 3.097, I 612, (1 0 -4)
- 2θ 29.08, d 3.071, I 719, (2 1 0)
- 2θ 31.01, d 2.884, I 572, (3 1 -3)
- 2θ 31.78, d 2.816, I 1000, (0 2 2)
- 2θ 32.29, d 2.772, I 468, (3 1 -2)
- 2θ 32.40, d 2.763, I 539, (3 1 -4)
- 2θ 36.00, d 2.495, I 261, (3 1 -1)
- 2θ 36.19, d 2.482, I 239, (3 1 -5)
- 2θ 57.07, d 1.614, I 302, (3 3 -6)

Atomic structure:
```
data_Tl6Bi3Au
_chemical_formula_sum 'Tl12 Bi6 Au2'
_symmetry_space_group_name_H-M 'P 1 21/c 1'
_symmetry_Int_Tables_number 14
_cell_length_a 9.534
_cell_length_b 6.864
_cell_length_c 13.661
_cell_angle_alpha 90.00
_cell_angle_beta 133.88
_cell_angle_gamma 90.00
loop_
_symmetry_equiv_pos_as_xyz
'x,y,z'
'-x,-y,-z'
'-x,y+1/2,-z+1/2'
'x,-y+1/2,z+1/2'
loop_
_atom_site_label
_atom_site_fract_x
_atom_site_fract_y
_atom_site_fract_z
Tl1 0.096 0.129 0.415
Tl2 0.267 0.585 0.446
Tl3 0.385 0.741 0.239
Bi1 0.220 0.238 0.724
Bi2 0.500 0.000 0.500
Au1 0.000 0.000 0.000
```

***

Record 3
This entry pairs a crystal structure of Tl12BiAu7 with its calculated PXRD pattern. Radiation: a wavelength of 1.5418 Å. Structure: DFT lattice parameters and positions (PBE).
Lines closer than 0.1° are merged.

Principal peaks in the range 15° ≤ 2θ ≤ 90°, by angle:
- 2θ 28.33, d 3.150, I 279, (1 3 1)
- 2θ 28.70, d 3.110, I 172, (2 -1 3)
- 2θ 32.04, d 2.793, I 1000, (4 -1 2)
- 2θ 34.22, d 2.620, I 153, (3 0 3)
- 2θ 34.50, d 2.599, I 163, (4 1 0)
- 2θ 37.56, d 2.395, I 220, (0 2 4)
- 2θ 39.30, d 2.292, I 103, (3 3 0)
- 2θ 44.17, d 2.051, I 136, (1 3 4)
- 2θ 45.82, d 1.980, I 166, (1 5 2)
- 2θ 47.68, d 1.907, I 196, (5 2 0)

Atomic structure:
```
data_Tl12BiAu7
_chemical_formula_sum 'Tl36 Bi3 Au21'
_symmetry_space_group_name_H-M 'R -3'
_symmetry_Int_Tables_number 148
_symmetry_space_group_name_Hall '-R 3'
_cell_length_a 13.7545
_cell_length_b 13.7545
_cell_length_c 10.4617
_cell_angle_alpha 90.00
_cell_angle_beta 90.00
_cell_angle_gamma 120.00
loop_
_atom_site_label
_atom_site_fract_x
_atom_site_fract_y
_atom_site_fract_z
Tl1 0.0193 0.5891 0.2641
Tl2 0.0591 0.8734 0.3106
Bi1 0.0000 0.0000 0.0000
Au1 0.0000 0.0000 0.5000
Au2 0.0887 0.8689 0.8642
```